# 1
SrCu2Br8: simulated X-ray diffraction stick pattern (Cu Ka), based on a crystal structure in OQMD, relaxed with PBE.
Neutral-atom scattering factors, no anomalous dispersion.

Principal peaks in the range 10° ≤ 2θ ≤ 80°, low angle first:
- 17.3 deg, rel. 92
- 28.0 deg, rel. 78
- 28.2 deg, rel. 100
- 28.4 deg, rel. 85
- 28.6 deg, rel. 86
- 34.9 deg, rel. 52
- 35.0 deg, rel. 58
- 38.1 deg, rel. 53
- 38.7 deg, rel. 62
- 53.6 deg, rel. 49

Atomic structure:
```
SrCu2Br8
1.0
7.254 0.000 0.000
0.016 7.276 0.000
3.330 3.492 6.328
Sr Cu Br
1 2 8
Direct
0.000 0.000 0.000 Sr
0.247 0.756 0.503 Cu
0.744 0.261 0.497 Cu
0.046 0.537 0.263 Br
0.221 0.066 0.241 Br
0.288 0.463 0.769 Br
0.463 0.962 0.733 Br
0.536 0.706 0.251 Br
0.711 0.241 0.218 Br
0.764 0.295 0.775 Br
0.939 0.788 0.750 Br
```

# 2
TlCuBr3: simulated X-ray diffraction stick pattern (Cu Ka), based on a crystal structure in OQMD, relaxed with PBE.
Neutral-atom scattering factors, no anomalous dispersion.

Principal peaks in the range 10° ≤ 2θ ≤ 80°, low angle first:
- 20.5 deg, rel. 61
- 27.0 deg, rel. 93
- 29.0 deg, rel. 45
- 30.4 deg, rel. 35
- 30.9 deg, rel. 100
- 31.1 deg, rel. 42
- 31.9 deg, rel. 42
- 32.8 deg, rel. 54
- 37.2 deg, rel. 34
- 42.7 deg, rel. 37

Atomic structure:
```
TlCuBr3
1.0
4.281 0.000 0.000
0.000 14.694 0.000
-1.314 0.000 9.384
Tl Cu Br
4 4 12
Direct
0.230 0.169 0.451 Tl
0.230 0.331 0.951 Tl
0.770 0.669 0.049 Tl
0.770 0.831 0.549 Tl
0.242 0.549 0.660 Cu
0.242 0.951 0.160 Cu
0.758 0.049 0.840 Cu
0.758 0.451 0.340 Cu
0.182 0.098 0.032 Br
0.182 0.402 0.532 Br
0.257 0.699 0.764 Br
0.257 0.801 0.264 Br
0.321 0.513 0.176 Br
0.321 0.987 0.676 Br
0.679 0.013 0.324 Br
0.679 0.487 0.824 Br
0.743 0.199 0.736 Br
0.743 0.301 0.236 Br
0.818 0.598 0.468 Br
0.818 0.902 0.968 Br
```

# 3
DyErGa2Br2: simulated X-ray diffraction stick pattern (Cu Ka), based on a crystal structure in OQMD, relaxed with PBE.
Neutral-atom scattering factors, no anomalous dispersion.

Principal peaks in the range 10° ≤ 2θ ≤ 80°, low angle first:
- 15.8 deg, rel. 12
- 25.0 deg, rel. 16
- 26.3 deg, rel. 20
- 29.7 deg, rel. 65
- 34.8 deg, rel. 100
- 44.1 deg, rel. 50
- 47.9 deg, rel. 24
- 57.4 deg, rel. 24
- 67.8 deg, rel. 16
- 75.1 deg, rel. 21

Atomic structure:
```
DyErGa2Br2
1.0
4.108 0.000 0.000
-2.054 3.558 0.000
0.000 0.000 11.219
Dy Er Ga Br
1 1 2 2
Direct
0.000 0.000 0.000 Dy
0.000 0.000 0.363 Er
0.333 0.667 0.214 Ga
0.667 0.333 0.151 Ga
0.333 0.667 0.843 Br
0.667 0.333 0.519 Br
```

# 4
DyErH2Br4: simulated X-ray diffraction stick pattern (Cu Ka), based on a crystal structure in OQMD, relaxed with PBE.
Neutral-atom scattering factors, no anomalous dispersion.

Principal peaks in the range 10° ≤ 2θ ≤ 80°, low angle first:
- 12.0 deg, rel. 89
- 27.7 deg, rel. 30
- 29.7 deg, rel. 73
- 32.7 deg, rel. 25
- 36.5 deg, rel. 100
- 46.0 deg, rel. 18
- 47.7 deg, rel. 38
- 49.4 deg, rel. 27
- 61.6 deg, rel. 32
- 71.1 deg, rel. 23

Atomic structure:
```
DyErH2Br4
1.0
3.810 0.000 0.000
-1.905 3.299 0.000
0.000 0.000 14.773
Dy Er H Br
1 1 2 4
Direct
0.000 0.000 0.000 Dy
0.000 0.000 0.500 Er
0.333 0.667 0.500 H
0.667 0.333 0.000 H
0.333 0.667 0.130 Br
0.333 0.667 0.870 Br
0.667 0.333 0.371 Br
0.667 0.333 0.629 Br
```

# 5
DyTmH2Br2: simulated X-ray diffraction stick pattern (Cu Ka), based on a crystal structure in OQMD, relaxed with PBE.
Neutral-atom scattering factors, no anomalous dispersion.

Principal peaks in the range 10° ≤ 2θ ≤ 80°, low angle first:
- 17.7 deg, rel. 16
- 29.8 deg, rel. 100
- 29.9 deg, rel. 50
- 34.4 deg, rel. 13
- 35.9 deg, rel. 17
- 36.3 deg, rel. 23
- 36.5 deg, rel. 46
- 48.2 deg, rel. 46
- 57.7 deg, rel. 16
- 78.3 deg, rel. 13

Atomic structure:
```
DyTmH2Br2
1.0
6.542 0.000 0.000
0.000 3.777 0.000
-2.117 0.000 10.014
Dy Tm H Br
2 2 4 4
Direct
0.000 0.000 0.000 Dy
0.500 0.500 0.000 Dy
0.253 0.500 0.267 Tm
0.753 0.000 0.267 Tm
0.071 0.000 0.220 H
0.183 0.500 0.051 H
0.571 0.500 0.220 H
0.683 0.000 0.051 H
0.273 0.000 0.812 Br
0.479 0.000 0.451 Br
0.773 0.500 0.812 Br
0.979 0.500 0.451 Br
```

# 6
DyHoSbBr2: simulated X-ray diffraction stick pattern (Cu Ka), based on a crystal structure in OQMD, relaxed with PBE.
Neutral-atom scattering factors, no anomalous dispersion.

Principal peaks in the range 10° ≤ 2θ ≤ 80°, low angle first:
- 25.8 deg, rel. 12
- 29.6 deg, rel. 100
- 35.1 deg, rel. 16
- 41.7 deg, rel. 38
- 43.0 deg, rel. 35
- 53.0 deg, rel. 19
- 61.4 deg, rel. 12
- 68.7 deg, rel. 17
- 70.5 deg, rel. 16
- 77.9 deg, rel. 12

Atomic structure:
```
DyHoSbBr2
1.0
4.210 0.000 0.000
-2.105 3.646 0.000
0.000 0.000 10.777
Dy Ho Sb Br
1 1 1 2
Direct
0.000 0.000 0.000 Dy
0.333 0.667 0.320 Ho
0.667 0.333 0.161 Sb
0.000 0.000 0.478 Br
0.333 0.667 0.841 Br
```

# 7
Dy2Ho2SiBr5: simulated X-ray diffraction stick pattern (Cu Ka), based on a crystal structure in OQMD, relaxed with PBE.
Neutral-atom scattering factors, no anomalous dispersion.

Principal peaks in the range 10° ≤ 2θ ≤ 80°, low angle first:
- 10.0 deg, rel. 16
- 10.9 deg, rel. 43
- 30.4 deg, rel. 64
- 30.9 deg, rel. 100
- 33.8 deg, rel. 15
- 43.5 deg, rel. 17
- 43.7 deg, rel. 36
- 44.1 deg, rel. 33
- 45.0 deg, rel. 18
- 55.3 deg, rel. 20

Atomic structure:
```
Dy2Ho2SiBr5
1.0
9.041 -2.013 0.000
9.041 2.013 0.000
-1.807 0.000 8.117
Dy Ho Si Br
2 2 1 5
Direct
0.151 0.151 0.079 Dy
0.849 0.849 0.921 Dy
0.500 0.500 0.221 Ho
0.500 0.500 0.779 Ho
0.000 0.000 0.000 Si
0.000 0.000 0.500 Br
0.328 0.328 0.163 Br
0.334 0.334 0.669 Br
0.666 0.666 0.331 Br
0.672 0.672 0.837 Br
```

# 8
Nd2Dy2IBr4N: simulated X-ray diffraction stick pattern (Cu Ka), based on a crystal structure in OQMD, relaxed with PBE.
Neutral-atom scattering factors, no anomalous dispersion.

Principal peaks in the range 10° ≤ 2θ ≤ 80°, low angle first:
- 10.2 deg, rel. 21
- 10.4 deg, rel. 46
- 20.7 deg, rel. 12
- 30.9 deg, rel. 100
- 31.0 deg, rel. 17
- 34.5 deg, rel. 11
- 34.7 deg, rel. 14
- 44.0 deg, rel. 16
- 44.5 deg, rel. 17
- 46.9 deg, rel. 13

Atomic structure:
```
Nd2Dy2IBr4N
1.0
8.919 -1.936 0.000
8.919 1.936 0.000
-2.023 0.000 8.505
Nd Dy I Br N
2 2 1 4 1
Direct
0.001 0.001 0.307 Nd
0.999 0.999 0.693 Nd
0.366 0.366 0.435 Dy
0.634 0.634 0.565 Dy
0.500 0.500 0.000 I
0.170 0.170 0.813 Br
0.173 0.173 0.349 Br
0.827 0.827 0.651 Br
0.830 0.830 0.187 Br
0.500 0.500 0.500 N
```

# 9
SmDyI2BrN: simulated X-ray diffraction stick pattern (Cu Ka), based on a crystal structure in OQMD, relaxed with PBE.
Neutral-atom scattering factors, no anomalous dispersion.

Principal peaks in the range 10° ≤ 2θ ≤ 80°, low angle first:
- 25.9 deg, rel. 68
- 27.2 deg, rel. 46
- 29.8 deg, rel. 39
- 29.9 deg, rel. 58
- 31.5 deg, rel. 100
- 34.1 deg, rel. 50
- 40.1 deg, rel. 42
- 41.7 deg, rel. 32
- 45.3 deg, rel. 34
- 55.2 deg, rel. 34

Atomic structure:
```
SmDyI2BrN
1.0
9.603 -2.001 0.000
9.603 2.001 0.000
-6.988 0.000 9.779
Sm Dy I Br N
2 2 4 2 2
Direct
0.135 0.135 0.283 Sm
0.865 0.865 0.717 Sm
0.430 0.430 0.039 Dy
0.570 0.570 0.961 Dy
0.039 0.039 0.736 I
0.222 0.222 0.124 I
0.778 0.778 0.876 I
0.961 0.961 0.264 I
0.328 0.328 0.494 Br
0.672 0.672 0.506 Br
0.428 0.428 0.850 N
0.572 0.572 0.150 N
```

# 10
Dy2Y2I3Br2N: simulated X-ray diffraction stick pattern (Cu Ka), based on a crystal structure in OQMD, relaxed with PBE.
Neutral-atom scattering factors, no anomalous dispersion.

Principal peaks in the range 10° ≤ 2θ ≤ 80°, low angle first:
- 10.7 deg, rel. 27
- 23.6 deg, rel. 16
- 29.8 deg, rel. 50
- 31.5 deg, rel. 100
- 34.1 deg, rel. 38
- 39.7 deg, rel. 16
- 43.6 deg, rel. 28
- 44.3 deg, rel. 27
- 47.1 deg, rel. 19
- 56.8 deg, rel. 16

Atomic structure:
```
Dy2Y2I3Br2N
1.0
9.183 -1.928 0.000
9.183 1.928 0.000
-1.740 0.000 8.232
Dy Y I Br N
2 2 3 2 1
Direct
0.001 0.001 0.311 Dy
0.999 0.999 0.689 Dy
0.370 0.370 0.435 Y
0.630 0.630 0.565 Y
0.171 0.171 0.312 I
0.500 0.500 0.000 I
0.829 0.829 0.688 I
0.157 0.157 0.824 Br
0.843 0.843 0.176 Br
0.500 0.500 0.500 N
```

# 11
Dy2S2IBr: simulated X-ray diffraction stick pattern (Cu Ka), based on a crystal structure in OQMD, relaxed with PBE.
Neutral-atom scattering factors, no anomalous dispersion.

Principal peaks in the range 10° ≤ 2θ ≤ 80°, low angle first:
- 19.2 deg, rel. 100
- 29.0 deg, rel. 49
- 29.2 deg, rel. 92
- 33.4 deg, rel. 34
- 39.6 deg, rel. 16
- 40.5 deg, rel. 41
- 43.9 deg, rel. 16
- 44.9 deg, rel. 55
- 48.3 deg, rel. 18
- 56.3 deg, rel. 15

Atomic structure:
```
Dy2S2IBr
1.0
4.123 0.000 0.000
0.000 5.368 0.000
0.000 0.000 9.113
Dy S I Br
2 2 1 1
Direct
0.000 0.000 0.000 Dy
0.500 0.500 0.252 Dy
0.000 0.500 0.052 S
0.500 0.000 0.198 S
0.500 0.000 0.754 I
0.000 0.500 0.466 Br
```

# 12
Dy2Se2IBr: simulated X-ray diffraction stick pattern (Cu Ka), based on a crystal structure in OQMD, relaxed with PBE.
Neutral-atom scattering factors, no anomalous dispersion.

Principal peaks in the range 10° ≤ 2θ ≤ 80°, low angle first:
- 18.5 deg, rel. 64
- 28.4 deg, rel. 23
- 29.2 deg, rel. 100
- 31.7 deg, rel. 43
- 39.9 deg, rel. 18
- 40.3 deg, rel. 30
- 43.4 deg, rel. 18
- 43.6 deg, rel. 66
- 51.9 deg, rel. 16
- 54.8 deg, rel. 18

Atomic structure:
```
Dy2Se2IBr
1.0
4.167 0.000 0.000
0.000 5.646 0.000
0.000 0.000 9.027
Dy Se I Br
2 2 1 1
Direct
0.000 0.000 0.000 Dy
0.500 0.500 0.256 Dy
0.000 0.500 0.037 Se
0.500 0.000 0.218 Se
0.500 0.000 0.756 I
0.000 0.500 0.469 Br
```

# 13
DyIrBr6: simulated X-ray diffraction stick pattern (Cu Ka), based on a crystal structure in OQMD, relaxed with PBE.
Neutral-atom scattering factors, no anomalous dispersion.

Principal peaks in the range 10° ≤ 2θ ≤ 80°, low angle first:
- 13.7 deg, rel. 91
- 15.5 deg, rel. 20
- 16.1 deg, rel. 36
- 17.9 deg, rel. 25
- 27.3 deg, rel. 27
- 32.5 deg, rel. 54
- 32.8 deg, rel. 100
- 46.3 deg, rel. 37
- 47.4 deg, rel. 32
- 58.8 deg, rel. 26

Atomic structure:
```
DyIrBr6
1.0
6.644 0.000 0.000
0.000 11.466 0.000
-2.264 0.000 6.479
Dy Ir Br
2 2 12
Direct
0.000 0.000 0.000 Dy
0.500 0.500 0.000 Dy
0.000 0.668 0.000 Ir
0.500 0.168 0.000 Ir
0.224 0.670 0.767 Br
0.229 0.515 0.236 Br
0.235 0.818 0.239 Br
0.265 0.318 0.761 Br
0.271 0.015 0.764 Br
0.276 0.170 0.233 Br
0.724 0.170 0.767 Br
0.729 0.015 0.236 Br
0.735 0.318 0.239 Br
0.765 0.818 0.761 Br
0.771 0.515 0.764 Br
0.776 0.670 0.233 Br
```

# 14
Dy4Br4N3: simulated X-ray diffraction stick pattern (Cu Ka), based on a crystal structure in OQMD, relaxed with PBE.
Neutral-atom scattering factors, no anomalous dispersion.

Principal peaks in the range 10° ≤ 2θ ≤ 80°, low angle first:
- 25.8 deg, rel. 9
- 31.2 deg, rel. 100
- 33.9 deg, rel. 45
- 39.6 deg, rel. 9
- 47.3 deg, rel. 13
- 48.6 deg, rel. 9
- 48.8 deg, rel. 9
- 53.7 deg, rel. 12
- 58.9 deg, rel. 16
- 59.0 deg, rel. 16

Atomic structure:
```
Dy4Br4N3
1.0
3.745 0.000 0.000
0.000 7.464 0.000
0.000 0.000 8.953
Dy Br N
4 4 3
Direct
0.000 0.000 0.000 Dy
0.000 0.500 0.058 Dy
0.500 0.256 0.320 Dy
0.500 0.744 0.320 Dy
0.000 0.000 0.505 Br
0.000 0.500 0.514 Br
0.500 0.248 0.849 Br
0.500 0.752 0.849 Br
0.000 0.204 0.177 N
0.000 0.796 0.177 N
0.500 0.500 0.189 N
```